Entry 1:
Diffraction record for NaZnGa5. The X-ray diffraction stick pattern is computed, not measured: it uses a PBE-relaxed structure and copper Kα.
Lines closer than 0.1° are merged.

Peak list (12 most intense, 10 to 80 degrees two-theta, most intense first)
37.03°, intensity 100
44.53°, intensity 31
77.05°, intensity 22
43.47°, intensity 21
61.28°, intensity 17
39.86°, intensity 16
64.80°, intensity 10
69.52°, intensity 8
78.85°, intensity 8
45.70°, intensity 8
70.51°, intensity 8
19.63°, intensity 7

Atomic structure:
Unit cell a=4.069 b=4.069 c=9.046 alpha=90.00 beta=90.00 gamma=90.00
Positions (direct):
Na 0.000 0.000 0.000
Zn 0.000 0.000 0.500
Ga 0.000 0.500 0.276
Ga 0.000 0.500 0.724
Ga 0.500 0.000 0.276
Ga 0.500 0.000 0.724
Ga 0.500 0.500 0.500

Entry 2:
Diffraction record for Nb4Ga. The X-ray diffraction stick pattern is computed, not measured: it uses a PBE-relaxed structure and copper Kα.
Lines closer than 0.1° are merged.

Peak list (12 most intense, 10 to 80 degrees two-theta, most intense first)
39.16°, intensity 100
37.57°, intensity 72
42.30°, intensity 48
40.30°, intensity 30
31.22°, intensity 29
66.61°, intensity 27
39.26°, intensity 16
33.54°, intensity 16
37.33°, intensity 15
70.72°, intensity 14
45.25°, intensity 13
33.80°, intensity 12

Atomic structure:
Unit cell a=5.136 b=8.016 c=4.819 alpha=90.00 beta=111.15 gamma=90.00
Positions (direct):
Nb 0.170 0.173 0.078
Nb 0.170 0.827 0.578
Nb 0.238 0.408 0.573
Nb 0.238 0.592 0.073
Nb 0.762 0.408 0.927
Nb 0.762 0.592 0.427
Nb 0.830 0.173 0.422
Nb 0.830 0.827 0.922
Ga 0.500 0.107 0.750
Ga 0.500 0.893 0.250

Entry 3:
Diffraction record for Nb8Ga. The X-ray diffraction stick pattern is computed, not measured: it uses a PBE-relaxed structure and copper Kα.
Lines closer than 0.1° are merged.

Peak list (9 most intense, 10 to 80 degrees two-theta, most intense first)
38.56°, intensity 100
38.17°, intensity 26
38.83°, intensity 25
69.25°, intensity 17
55.59°, intensity 17
70.13°, intensity 16
69.58°, intensity 8
55.75°, intensity 8
70.02°, intensity 8

Atomic structure:
Unit cell a=8.631 b=7.443 c=5.463 alpha=82.40 beta=58.74 gamma=38.86
Positions (direct):
Nb 0.162 0.162 0.838
Nb 0.168 0.499 0.501
Nb 0.170 0.830 0.170
Nb 0.499 0.168 0.832
Nb 0.501 0.832 0.168
Nb 0.830 0.170 0.830
Nb 0.832 0.501 0.499
Nb 0.838 0.838 0.162
Ga 0.500 0.500 0.500

Entry 4:
Diffraction record for NbGa2. The X-ray diffraction stick pattern is computed, not measured: it uses a PBE-relaxed structure and copper Kα.
Lines closer than 0.1° are merged.

Peak list (12 most intense, 10 to 80 degrees two-theta, most intense first)
39.36°, intensity 100
36.30°, intensity 32
67.35°, intensity 20
44.00°, intensity 18
58.31°, intensity 15
77.76°, intensity 13
68.07°, intensity 9
55.42°, intensity 9
73.33°, intensity 7
77.07°, intensity 3
29.62°, intensity 3
36.12°, intensity 1

Atomic structure:
Unit cell a=5.555 b=5.382 c=3.219 alpha=75.85 beta=69.97 gamma=34.18
Positions (direct):
Nb 0.000 0.000 0.000
Ga 0.327 0.327 0.673
Ga 0.673 0.673 0.327

Entry 5:
Diffraction record for NbGa5. The X-ray diffraction stick pattern is computed, not measured: it uses a PBE-relaxed structure and copper Kα.
Lines closer than 0.1° are merged.

Peak list (12 most intense, 10 to 80 degrees two-theta, most intense first)
38.38°, intensity 100
39.70°, intensity 22
47.12°, intensity 15
46.70°, intensity 14
71.18°, intensity 14
62.92°, intensity 11
63.27°, intensity 11
68.52°, intensity 9
13.00°, intensity 2
26.56°, intensity 1
40.42°, intensity 1
59.33°, intensity 1

Atomic structure:
Unit cell a=7.083 b=7.083 c=3.857 alpha=90.00 beta=90.00 gamma=148.12
Positions (direct):
Nb 0.000 0.000 0.000
Ga 0.169 0.831 0.500
Ga 0.343 0.657 0.000
Ga 0.500 0.500 0.500
Ga 0.657 0.343 0.000
Ga 0.831 0.169 0.500

Entry 6:
Diffraction record for Nb7Ga3. The X-ray diffraction stick pattern is computed, not measured: it uses a PBE-relaxed structure and copper Kα.
Lines closer than 0.1° are merged.

Peak list (12 most intense, 10 to 80 degrees two-theta, most intense first)
38.49°, intensity 100
38.61°, intensity 82
39.93°, intensity 45
40.53°, intensity 35
71.59°, intensity 28
58.20°, intensity 24
53.04°, intensity 16
68.40°, intensity 15
72.29°, intensity 12
38.03°, intensity 10
68.65°, intensity 8
72.53°, intensity 6

Atomic structure:
Unit cell a=7.608 b=7.608 c=5.622 alpha=108.87 beta=108.87 gamma=34.53
Positions (direct):
Nb 0.000 0.000 0.000
Nb 0.198 0.198 0.749
Nb 0.395 0.395 0.614
Nb 0.399 0.399 0.114
Nb 0.601 0.601 0.886
Nb 0.605 0.605 0.386
Nb 0.802 0.802 0.251
Ga 0.000 0.000 0.500
Ga 0.198 0.198 0.237
Ga 0.802 0.802 0.763

Entry 7:
Diffraction record for NbGa3Ni12. The X-ray diffraction stick pattern is computed, not measured: it uses a PBE-relaxed structure and copper Kα.
Lines closer than 0.1° are merged.

Peak list (6 most intense, 10 to 80 degrees two-theta, most intense first)
43.46°, intensity 100
50.41°, intensity 32
74.58°, intensity 18
51.05°, intensity 15
74.06°, intensity 9
24.59°, intensity 1

Atomic structure:
Unit cell a=3.621 b=3.621 c=14.312 alpha=90.00 beta=90.00 gamma=90.00
Positions (direct):
Nb 0.000 0.000 0.000
Ga 0.000 0.000 0.255
Ga 0.000 0.000 0.500
Ga 0.000 0.000 0.745
Ni 0.000 0.500 0.128
Ni 0.000 0.500 0.376
Ni 0.000 0.500 0.624
Ni 0.000 0.500 0.872
Ni 0.500 0.000 0.128
Ni 0.500 0.000 0.376
Ni 0.500 0.000 0.624
Ni 0.500 0.000 0.872
Ni 0.500 0.500 0.000
Ni 0.500 0.500 0.253
Ni 0.500 0.500 0.500
Ni 0.500 0.500 0.747

Entry 8:
Diffraction record for Nb2Ga2Ni7Pt. The X-ray diffraction stick pattern is computed, not measured: it uses a PBE-relaxed structure and copper Kα.
Lines closer than 0.1° are merged.

Peak list (12 most intense, 10 to 80 degrees two-theta, most intense first)
43.27°, intensity 100
42.02°, intensity 79
45.26°, intensity 69
54.14°, intensity 58
30.50°, intensity 49
71.70°, intensity 43
37.54°, intensity 38
27.88°, intensity 34
12.11°, intensity 29
49.16°, intensity 23
76.70°, intensity 17
39.59°, intensity 16

Atomic structure:
Unit cell a=3.388 b=3.388 c=14.814 alpha=96.52 beta=96.52 gamma=90.00
Positions (direct):
Nb 0.133 0.133 0.268
Nb 0.867 0.867 0.732
Ga 0.310 0.310 0.619
Ga 0.690 0.690 0.381
Ni 0.000 0.000 0.000
Ni 0.067 0.567 0.137
Ni 0.226 0.226 0.452
Ni 0.433 0.933 0.863
Ni 0.567 0.067 0.137
Ni 0.774 0.774 0.548
Ni 0.933 0.433 0.863
Pt 0.500 0.500 0.000